Computed powder X-ray diffraction pattern of K16Cd12Ga for Cu Kα X-rays, from a structure optimized by DFT (GGA-PBE).

Principal peaks in the range 5° ≤ 2θ ≤ 70°, by intensity:
- 2θ 28.7, I = 100
- 2θ 29.6, I = 95
- 2θ 28.4, I = 92
- 2θ 32.8, I = 86
- 2θ 15.8, I = 84
- 2θ 9.6, I = 79
- 2θ 28.1, I = 78
- 2θ 9.4, I = 76
- 2θ 32.7, I = 74
- 2θ 30.5, I = 61

Cell and atoms:
```
K16Cd12Ga
1.0
6.642 -8.840 0.000
6.642 8.840 0.000
-6.316 0.000 9.746
K Cd Ga
16 12 1
direct
0.000 0.000 0.000
0.004 0.703 0.745
0.009 0.009 0.335
0.010 0.429 0.019
0.017 0.650 0.346
0.283 0.283 0.022
0.327 0.605 0.943
0.345 0.720 0.650
0.358 0.358 0.633
0.429 0.010 0.019
0.455 0.672 0.365
0.605 0.327 0.943
0.650 0.017 0.346
0.672 0.455 0.365
0.703 0.004 0.745
0.720 0.345 0.650
0.003 0.360 0.499
0.019 0.204 0.675
0.159 0.339 0.309
0.189 0.826 0.169
0.204 0.019 0.675
0.339 0.159 0.309
0.360 0.003 0.499
0.668 0.850 0.002
0.693 0.693 0.185
0.826 0.189 0.169
0.850 0.668 0.002
0.872 0.872 0.528
0.675 0.675 0.762
```